[1]
Ta2TcPt: computed X-ray powder pattern (Cu Ka), based on DFT lattice parameters and positions (PBE).

Structure:
```
Ta2TcPt
1.0
3.330 0.000 0.000
0.000 3.330 0.000
0.000 0.000 5.984
Ta Tc Pt
2 1 1
Cartesian
0.000 0.000 1.471
0.000 0.000 4.513
1.665 1.665 0.000
1.665 1.665 2.992
```

The 12 most intense peaks (10 to 90 degrees two-theta), most intense first:
d_spacing	2theta	I (rel.)
2.226	40.53	100.0
2.355	38.22	58.9
1.333	70.66	39.1
1.665	55.17	20.5
1.263	75.26	16.3
1.113	87.70	11.4
1.496	62.04	7.2
1.177	81.81	6.6
2.910	30.73	4.9
5.984	14.80	4.2
2.191	41.20	1.5
3.330	26.77	1.4

=====

[2]
FeP4: computed X-ray powder pattern (Cu Ka), based on DFT lattice parameters and positions (PBE).

Structure:
```
FeP4
1.0
2.504 -5.116 0.000
2.504 5.116 0.000
0.000 0.000 5.534
Fe P
2 8
Cartesian
2.504 3.334 4.150
2.504 -3.334 1.383
1.602 3.240 0.733
1.442 0.187 1.097
1.442 -0.187 4.436
3.405 3.240 2.034
1.602 -3.240 4.801
3.565 0.187 1.670
3.565 -0.187 3.864
3.405 -3.240 3.500
```

The 12 most intense peaks (10 to 90 degrees two-theta), most intense first:
d_spacing	2theta	I (rel.)
2.819	31.74	100.0
2.767	32.36	65.0
1.703	53.85	48.9
1.706	53.73	47.7
2.512	35.75	43.5
3.490	25.52	40.9
2.357	38.19	40.0
1.975	45.96	36.5
1.579	58.45	30.9
2.083	43.43	29.6
1.745	52.43	29.6
1.544	59.93	24.3

=====

[3]
CaHg2Pd5: computed X-ray powder pattern (Cu Ka), based on DFT lattice parameters and positions (PBE).

Structure:
```
CaHg2Pd5
1.0
4.335 0.000 0.000
0.000 4.335 0.000
0.000 0.000 15.245
Ca Hg Pd
2 4 10
Cartesian
0.000 0.000 0.000
2.167 2.167 7.623
0.000 0.000 3.825
0.000 0.000 11.420
2.167 2.167 3.798
2.167 2.167 11.448
0.000 0.000 7.623
0.000 2.167 1.945
0.000 2.167 5.678
0.000 2.167 9.567
0.000 2.167 13.301
2.167 0.000 1.945
2.167 0.000 5.678
2.167 0.000 9.567
2.167 0.000 13.301
2.167 2.167 0.000
```

The 12 most intense peaks (10 to 90 degrees two-theta), most intense first:
d_spacing	2theta	I (rel.)
2.389	37.66	100.0
2.167	41.67	37.7
1.290	73.40	27.9
7.623	11.61	26.3
1.431	65.19	19.6
1.906	47.72	12.6
1.533	60.40	12.5
1.194	80.41	10.9
1.174	82.12	10.3
2.844	31.46	9.2
1.956	46.42	5.0
2.085	43.40	5.0

=====

[4]
Zr3Cd2: computed X-ray powder pattern (Cu Ka), based on DFT lattice parameters and positions (PBE).

Structure:
```
Zr3Cd2
1.0
3.136 0.000 0.000
0.000 3.136 0.000
0.000 0.000 22.577
Zr Cd
6 4
Cartesian
0.000 0.000 0.000
0.000 0.000 4.522
0.000 0.000 18.055
1.568 1.568 6.766
1.568 1.568 11.288
1.568 1.568 15.811
0.000 0.000 9.084
0.000 0.000 13.492
1.568 1.568 2.204
1.568 1.568 20.373
```

The 12 most intense peaks (10 to 90 degrees two-theta), most intense first:
d_spacing	2theta	I (rel.)
2.576	34.83	100.0
2.218	40.69	32.3
1.339	70.28	24.1
1.582	58.33	21.3
2.258	39.93	16.9
1.357	69.24	12.3
1.288	73.54	10.4
1.568	58.90	10.4
1.109	88.10	3.4
1.129	86.15	1.7
3.106	28.74	0.9
3.763	23.64	0.6

=====

[5]
AcPmTm14: computed X-ray powder pattern (Cu Ka), based on DFT lattice parameters and positions (PBE).

Structure:
```
AcPmTm14
1.0
11.197 0.000 0.000
0.000 3.605 6.226
0.000 -3.605 6.226
Ac Pm Tm
1 1 14
Cartesian
0.000 0.000 0.000
0.000 0.000 6.230
0.000 -1.795 3.140
0.000 1.795 3.140
2.820 0.000 8.333
2.860 0.000 2.119
2.882 -1.792 5.201
2.882 1.792 5.201
5.598 -1.805 3.131
5.598 0.000 0.024
5.598 1.805 3.131
5.598 0.000 6.249
8.315 -1.792 5.201
8.315 1.792 5.201
8.337 0.000 2.119
8.377 0.000 8.333
```

The 12 most intense peaks (10 to 90 degrees two-theta), most intense first:
d_spacing	2theta	I (rel.)
2.724	32.88	100.0
3.118	28.63	23.9
2.799	31.97	23.7
1.601	57.56	20.1
2.083	43.45	15.5
1.513	61.25	15.0
1.799	50.76	13.3
1.503	61.73	11.0
1.152	83.98	9.5
1.105	88.49	8.2
1.516	61.15	7.5
1.803	50.64	6.8

=====

[6]
Zr2Si2O5: computed X-ray powder pattern (Cu Ka), based on DFT lattice parameters and positions (PBE).

Structure:
```
Zr2Si2O5
1.0
3.899 0.000 0.000
0.000 3.899 0.000
0.000 0.000 5.978
Zr Si O
2 2 5
Cartesian
0.000 0.000 0.000
0.000 0.000 2.989
1.950 1.950 1.217
1.950 1.950 4.761
0.000 1.950 1.451
0.000 1.950 4.527
1.950 0.000 1.451
1.950 0.000 4.527
1.950 1.950 2.989
```

The 12 most intense peaks (10 to 90 degrees two-theta), most intense first:
d_spacing	2theta	I (rel.)
2.372	37.93	100.0
2.027	44.71	61.2
2.757	32.47	60.6
1.950	46.58	58.9
3.899	22.80	48.4
1.506	61.57	47.7
1.379	68.00	17.0
1.186	81.07	15.5
1.140	85.11	14.7
1.192	80.59	11.0
1.744	52.47	10.8
1.233	77.39	10.7